Structure and computed powder diffraction line list of AcDy3Ho6 (a GGA-PBE-relaxed structure; Cu Kα (weighted mean of Kα1 and Kα2)).
Intensities are scaled so that the largest is 100.

Cell and atoms:
```
data_AcDy3Ho6
_chemical_formula_sum 'Ac3 Dy9 Ho18'
_symmetry_space_group_name_H-M 'R 3'
_symmetry_Int_Tables_number 146
_symmetry_space_group_name_Hall 'R 3'
_cell_length_a 9.8197
_cell_length_b 9.8197
_cell_length_c 12.0096
_cell_angle_alpha 90.00
_cell_angle_beta 90.00
_cell_angle_gamma 120.00
loop_
_atom_site_label
_atom_site_type_symbol
_atom_site_fract_x
_atom_site_fract_y
_atom_site_fract_z
Ac1 Ac 0.0000 0.0000 0.0000
Dy1 Dy 0.0000 0.0000 0.2621
Dy2 Dy 0.0000 0.0000 0.5003
Dy3 Dy 0.0000 0.0000 0.7388
Ho1 Ho 0.9997 0.3462 0.9993
Ho2 Ho 0.9999 0.6656 0.4994
```

Top 10 peaks for 2θ = 10–80°, by angle:
- 2θ = 28.8°, I 58, hkl 1 1 3
- 2θ = 31.6°, I 100, hkl 3 0 0
- 2θ = 36.6°, I 12, hkl 0 2 4
- 2θ = 41.1°, I 15, hkl 3 -1 4
- 2θ = 43.2°, I 19, hkl 4 -2 3
- 2θ = 49.1°, I 11, hkl 1 3 4
- 2θ = 54.5°, I 19, hkl 4 1 3
- 2θ = 56.2°, I 38, hkl 3 3 0
- 2θ = 65.9°, I 15, hkl 6 0 0
- 2θ = 75.0°, I 9, hkl 3 3 6

=====

Structure and computed powder diffraction line list of CsPu4Br8 (a GGA-PBE-relaxed structure; Cu Kα (weighted mean of Kα1 and Kα2)).
Intensities are scaled so that the largest is 100.

Cell and atoms:
```
data_CsPu4Br8
_chemical_formula_sum 'Cs2 Pu8 Br16'
_symmetry_space_group_name_H-M 'P 63/m m c'
_symmetry_Int_Tables_number 194
_symmetry_space_group_name_Hall '-P 6c 2c'
_cell_length_a 8.0422
_cell_length_b 8.0422
_cell_length_c 18.9579
_cell_angle_alpha 90.00
_cell_angle_beta 90.00
_cell_angle_gamma 120.00
loop_
_atom_site_label
_atom_site_type_symbol
_atom_site_fract_x
_atom_site_fract_y
_atom_site_fract_z
Cs1 Cs 0.0000 0.0000 0.0000
Pu1 Pu 0.0000 0.0000 0.2500
Pu2 Pu 0.0136 0.5068 0.2500
Br1 Br 0.1674 0.3349 0.6497
Br2 Br 0.3333 0.6667 0.1446
```

Top 10 peaks for 2θ = 10–80°, by angle:
- 2θ = 25.6°, I 26, hkl 2 0 0
- 2θ = 26.0°, I 20, hkl 2 0 1
- 2θ = 27.3°, I 41, hkl 2 0 2
- 2θ = 31.9°, I 100, hkl 2 0 4
- 2θ = 38.5°, I 38, hkl 2 0 6
- 2θ = 45.1°, I 32, hkl 2 2 0
- 2θ = 46.2°, I 20, hkl 2 2 2
- 2θ = 46.3°, I 18, hkl 2 0 8
- 2θ = 56.3°, I 20, hkl 4 0 4
- 2θ = 74.9°, I 17, hkl 4 2 4

=====

Structure and computed powder diffraction line list of TbY2Ho8 (a GGA-PBE-relaxed structure; Cu Kα (weighted mean of Kα1 and Kα2)).
Intensities are scaled so that the largest is 100.

Cell and atoms:
```
data_TbY2Ho8
_chemical_formula_sum 'Tb2 Y4 Ho16'
_symmetry_space_group_name_H-M 'C 1 2/m 1'
_symmetry_Int_Tables_number 12
_symmetry_space_group_name_Hall '-C 2y'
_cell_length_a 16.472
_cell_length_b 6.603
_cell_length_c 6.605
_cell_angle_alpha 90.00
_cell_angle_beta 100.35
_cell_angle_gamma 90.00
loop_
_atom_site_label
_atom_site_type_symbol
_atom_site_fract_x
_atom_site_fract_y
_atom_site_fract_z
Tb1 Tb 0.000 0.000 0.000
Y1 Y 0.203 0.000 0.804
Ho1 Ho 0.088 0.262 0.404
Ho2 Ho 0.088 0.500 0.903
Ho3 Ho 0.245 0.000 0.316
```

Top 10 peaks for 2θ = 10–80°, by angle:
- 2θ = 30.4°, I 51, hkl 0 2 1
- 2θ = 30.7°, I 35, hkl 5 1 0
- 2θ = 31.5°, I 71, hkl 2 0 2
- 2θ = 31.6°, I 33, hkl 5 1 -1
- 2θ = 32.1°, I 25, hkl 4 0 -2
- 2θ = 32.5°, I 51, hkl 3 1 -2
- 2θ = 33.2°, I 100, hkl 2 2 1
- 2θ = 35.1°, I 24, hkl 4 2 0
- 2θ = 36.2°, I 23, hkl 4 2 -1
- 2θ = 58.9°, I 24, hkl 4 2 3

=====

Structure and computed powder diffraction line list of Pa2P3Pd (a GGA-PBE-relaxed structure; Cu Kα (weighted mean of Kα1 and Kα2)).
Intensities are scaled so that the largest is 100.

Cell and atoms:
```
data_Pa2P3Pd
_chemical_formula_sum 'Pa8 P12 Pd4'
_symmetry_space_group_name_H-M 'P n m a'
_symmetry_Int_Tables_number 62
_symmetry_space_group_name_Hall '-P 2ac 2n'
_cell_length_a 7.827
_cell_length_b 3.908
_cell_length_c 15.411
_cell_angle_alpha 90.00
_cell_angle_beta 90.00
_cell_angle_gamma 90.00
loop_
_atom_site_label
_atom_site_type_symbol
_atom_site_fract_x
_atom_site_fract_y
_atom_site_fract_z
Pa1 Pa 0.086 0.250 0.223
Pa2 Pa 0.247 0.250 0.968
P1 P 0.032 0.250 0.406
P2 P 0.101 0.750 0.076
P3 P 0.182 0.250 0.784
Pd1 Pd 0.120 0.250 0.634
```

Top 10 peaks for 2θ = 10–80°, by angle:
- 2θ = 25.5°, I 61, hkl 2 0 2
- 2θ = 25.8°, I 37, hkl 1 0 4
- 2θ = 26.1°, I 47, hkl 1 1 1
- 2θ = 28.7°, I 100, hkl 0 1 3
- 2θ = 30.9°, I 30, hkl 1 1 3
- 2θ = 32.4°, I 46, hkl 2 1 0
- 2θ = 34.5°, I 39, hkl 2 1 2
- 2θ = 39.0°, I 46, hkl 1 1 5
- 2θ = 42.1°, I 41, hkl 3 1 1
- 2θ = 46.5°, I 35, hkl 0 2 0

=====

Structure and computed powder diffraction line list of Dy8NiRh2 (a GGA-PBE-relaxed structure; Cu Kα (weighted mean of Kα1 and Kα2)).
Intensities are scaled so that the largest is 100.

Cell and atoms:
```
data_Dy8NiRh2
_chemical_formula_sum 'Dy16 Ni2 Rh4'
_symmetry_space_group_name_H-M 'C 1 m 1'
_symmetry_Int_Tables_number 8
_symmetry_space_group_name_Hall 'C -2y'
_cell_length_a 8.284
_cell_length_b 12.382
_cell_length_c 6.070
_cell_angle_alpha 90.00
_cell_angle_beta 109.87
_cell_angle_gamma 90.00
loop_
_atom_site_label
_atom_site_type_symbol
_atom_site_fract_x
_atom_site_fract_y
_atom_site_fract_z
Dy1 Dy 0.000 0.000 0.000
Dy2 Dy 0.065 0.369 0.802
Dy3 Dy 0.141 0.131 0.583
Dy4 Dy 0.213 0.500 0.371
Dy5 Dy 0.359 0.205 0.184
Ni1 Ni 0.357 0.000 0.993
Rh1 Rh 0.351 0.314 0.687
```

Top 10 peaks for 2θ = 10–80°, by angle:
- 2θ = 27.1°, I 54, hkl 2 2 -1
- 2θ = 30.3°, I 60, hkl 1 1 -2
- 2θ = 31.1°, I 100, hkl 1 3 1
- 2θ = 31.9°, I 67, hkl 2 0 1
- 2θ = 32.9°, I 59, hkl 0 4 1
- 2θ = 33.5°, I 68, hkl 3 1 -1
- 2θ = 34.6°, I 41, hkl 0 2 2
- 2θ = 37.1°, I 44, hkl 2 4 0
- 2θ = 39.8°, I 54, hkl 1 5 -1
- 2θ = 53.9°, I 39, hkl 3 3 -3

=====

Structure and computed powder diffraction line list of Lu2Ga5Ni12 (a GGA-PBE-relaxed structure; Cu Kα (weighted mean of Kα1 and Kα2)).
Intensities are scaled so that the largest is 100.

Cell and atoms:
```
data_Lu2Ga5Ni12
_chemical_formula_sum 'Lu4 Ga10 Ni24'
_symmetry_space_group_name_H-M 'P 63/m m c'
_symmetry_Int_Tables_number 194
_symmetry_space_group_name_Hall '-P 6c 2c'
_cell_length_a 8.4140
_cell_length_b 8.4140
_cell_length_c 8.2887
_cell_angle_alpha 90.00
_cell_angle_beta 90.00
_cell_angle_gamma 120.00
loop_
_atom_site_label
_atom_site_type_symbol
_atom_site_fract_x
_atom_site_fract_y
_atom_site_fract_z
Lu1 Lu 0.0000 0.0000 0.2500
Lu2 Lu 0.3333 0.6667 0.2500
Ga1 Ga 0.0000 0.5000 0.0000
Ga2 Ga 0.3333 0.6667 0.6057
Ni1 Ni 0.0275 0.3526 0.7500
Ni2 Ni 0.1666 0.3333 0.0160
```

Top 10 peaks for 2θ = 10–80°, by angle:
- 2θ = 30.3°, I 35, hkl 1 1 2
- 2θ = 37.0°, I 43, hkl 3 0 0
- 2θ = 41.0°, I 28, hkl 2 0 3
- 2θ = 43.0°, I 57, hkl 2 2 0
- 2θ = 43.2°, I 100, hkl 3 0 2
- 2θ = 43.7°, I 30, hkl 0 0 4
- 2θ = 48.5°, I 20, hkl 2 2 2
- 2θ = 71.0°, I 19, hkl 3 3 2
- 2θ = 78.8°, I 20, hkl 6 0 0
- 2θ = 79.9°, I 20, hkl 3 0 6

=====

Structure and computed powder diffraction line list of TbRuSe (a GGA-PBE-relaxed structure; Cu Kα (weighted mean of Kα1 and Kα2)).
Intensities are scaled so that the largest is 100.

Cell and atoms:
```
data_TbRuSe
_chemical_formula_sum 'Tb6 Ru6 Se6'
_symmetry_space_group_name_H-M 'R -3 m'
_symmetry_Int_Tables_number 166
_symmetry_space_group_name_Hall '-R 3 2"'
_cell_length_a 4.4444
_cell_length_b 4.4444
_cell_length_c 24.7660
_cell_angle_alpha 90.00
_cell_angle_beta 90.00
_cell_angle_gamma 120.00
loop_
_atom_site_label
_atom_site_type_symbol
_atom_site_fract_x
_atom_site_fract_y
_atom_site_fract_z
Tb1 Tb 0.0000 0.0000 0.0712
Ru1 Ru 0.0000 0.0000 0.1764
Se1 Se 0.0000 0.0000 0.3332
```

Top 10 peaks for 2θ = 10–80°, by angle:
- 2θ = 23.4°, I 81, hkl 1 0 1
- 2θ = 27.3°, I 27, hkl 1 0 4
- 2θ = 34.4°, I 48, hkl 1 0 7
- 2θ = 37.3°, I 80, hkl 0 1 8
- 2θ = 40.6°, I 100, hkl 1 1 0
- 2θ = 43.9°, I 15, hkl 0 0 12
- 2θ = 56.3°, I 24, hkl 2 0 8
- 2θ = 61.3°, I 32, hkl 1 1 12
- 2θ = 71.7°, I 23, hkl 1 2 8
- 2θ = 73.9°, I 17, hkl 3 0 0